The following is a calculated X-ray powder pattern of LaMg5In7. It was derived from DFT lattice parameters and positions (PBE), using Cu Kα (weighted mean of Kα1 and Kα2).

Largest 10 diffraction maxima, most intense first, 10° ≤ 2θ ≤ 90°:
| (hkl) | Position (°2θ) | d/Å | I_rel |
| --- | --- | --- | --- |
| 1 3 2 | 34.79 | 2.579 | 100.0 |
| 1 3 0 | 29.67 | 3.011 | 84.8 |
| 2 0 0 | 28.32 | 3.152 | 83.4 |
| 1 2 3 | 35.12 | 2.555 | 62.7 |
| 2 2 2 | 38.02 | 2.367 | 40.2 |
| 1 0 3 | 30.35 | 2.945 | 35.4 |
| 1 3 6 | 63.88 | 1.457 | 34.0 |
| 2 0 2 | 33.62 | 2.666 | 33.0 |
| 3 3 2 | 54.41 | 1.686 | 26.9 |
| 0 0 2 | 17.75 | 4.996 | 26.0 |

Cell and atoms:
abc: 6.3038 10.2816 9.9923
angles: 90.00 90.00 90.00
Space group Imm2 (No. 44)
One atom of each set of equivalent atoms:
La (0.0000, 0.0000, 0.0000) (multiplicity 2)
Mg (0.0000, 0.5000, 0.2645) (multiplicity 2)
Mg (0.2484, 0.2521, 0.7474) (multiplicity 8)
In (0.0000, 0.0000, 0.3480) (multiplicity 2)
In (0.0000, 0.0000, 0.6538) (multiplicity 2)
In (0.0000, 0.3075, 0.4924) (multiplicity 4)
In (0.0000, 0.3428, 0.0019) (multiplicity 4)
In (0.0000, 0.5000, 0.7257) (multiplicity 2)